Computed powder diffractogram of Al3Si5P8 for Cu Kα (weighted mean of Kα1 and Kα2), from a crystal structure in Alexandria, relaxed with PBE.
Intensities are scaled so that the largest is 100.

Lattice parameters (Å, degrees): 6.3047 6.3047 6.3047 90.00 90.00 90.00
Positions (direct):
Al: 0.0000 0.0000 0.5000
Al: 0.0000 0.5000 0.0000
Al: 0.5000 0.0000 0.0000
Si: 0.2848 0.2848 0.2848
Si: 0.2848 0.7152 0.7152
Si: 0.5000 0.5000 0.5000
Si: 0.7152 0.2848 0.7152
Si: 0.7152 0.7152 0.2848
P: 0.0000 0.0000 0.0000
P: 0.0000 0.5000 0.5000
P: 0.2047 0.2047 0.7953
P: 0.2047 0.7953 0.2047
P: 0.5000 0.0000 0.5000
P: 0.5000 0.5000 0.0000
P: 0.7953 0.2047 0.2047
P: 0.7953 0.7953 0.7953

Peak list (12 most intense, 2θ from 15° to 90°, by intensity)
- d 2.229, I = 100
- d 1.287, I = 21
- d 2.574, I = 21
- d 1.486, I = 13
- d 1.576, I = 12
- d 1.236, I = 7
- d 1.685, I = 7
- d 1.115, I = 6
- d 1.410, I = 4
- d 1.344, I = 3
- d 4.458, I = 1
- d 1.994, I = 1